Entry 1:
The following is a computed XRD peak list of LiPm2Pd9. It was derived from a DFT-relaxed cell (PBE, Alexandria), using a wavelength of 1.5418 Å.

Cell and atoms:
```
LiPm2Pd9
1.0
4.1762 0.0000 0.0000
0.0000 4.1762 0.0000
0.0000 0.0000 11.8270
Li Pm Pd
1 2 9
direct
0.0000 0.0000 0.0000
0.0000 0.0000 0.3225
0.0000 0.0000 0.6775
0.0000 0.5000 0.1487
0.0000 0.5000 0.5000
0.0000 0.5000 0.8513
0.5000 0.0000 0.1487
0.5000 0.0000 0.5000
0.5000 0.0000 0.8513
0.5000 0.5000 0.0000
0.5000 0.5000 0.3240
0.5000 0.5000 0.6760
```

Top 8 peaks for 5° ≤ 2θ ≤ 70°, in order of rising 2θ:
2θ/deg	I/Imax
22.6	4
33.9	7
38.1	100
43.3	36
46.0	12
59.0	4
62.9	11
65.1	17



Entry 2:
The following is a computed XRD peak list of LiPmPd4. It was derived from a DFT-relaxed cell (PBE, Alexandria), using a wavelength of 1.5418 Å.

Cell and atoms:
```
LiPmPd4
1.0
0.0000 3.8010 3.8010
3.8010 0.0000 3.8010
3.8010 3.8010 0.0000
Li Pm Pd
1 1 4
direct
0.0000 0.0000 0.0000
0.2500 0.2500 0.2500
0.1240 0.6253 0.6253
0.6253 0.1240 0.6253
0.6253 0.6253 0.1240
0.6253 0.6253 0.6253
```

Top 8 peaks for 5° ≤ 2θ ≤ 70°, in order of rising 2θ:
2θ/deg	I/Imax
20.2	35
23.4	17
33.3	16
39.3	100
41.1	53
47.9	10
52.5	8
63.6	32



Entry 3:
The following is a computed XRD peak list of LiPmPd3. It was derived from a DFT-relaxed cell (PBE, Alexandria), using a wavelength of 1.5418 Å.

Cell and atoms:
```
LiPmPd3
1.0
6.1421 0.0000 0.0000
-3.0710 5.3192 0.0000
0.0000 0.0000 5.4013
Li Pm Pd
2 2 6
direct
0.0000 0.0000 0.0000
0.0000 0.0000 0.5000
0.3333 0.6667 0.2500
0.6667 0.3333 0.7500
0.1838 0.3676 0.7500
0.1838 0.8162 0.7500
0.3676 0.1838 0.2500
0.6324 0.8162 0.7500
0.8162 0.1838 0.2500
0.8162 0.6324 0.2500
```

Top 8 peaks for 5° ≤ 2θ ≤ 70°, in order of rising 2θ:
2θ/deg	I/Imax
16.7	7
33.2	33
33.7	22
37.7	100
48.0	18
48.3	4
60.3	15
62.3	23



Entry 4:
The following is a computed XRD peak list of Li2Pm5Pd5. It was derived from a DFT-relaxed cell (PBE, Alexandria), using a wavelength of 1.5418 Å.

Cell and atoms:
```
Li2Pm5Pd5
1.0
6.4961 -1.8976 0.0000
6.4961 1.8976 0.0000
-0.6515 0.0000 11.2521
Li Pm Pd
2 5 5
direct
0.0405 0.0405 0.2122
0.9595 0.9595 0.7878
0.2201 0.2201 0.3713
0.3535 0.3535 0.1009
0.5000 0.5000 0.5000
0.6465 0.6465 0.8991
0.7799 0.7799 0.6287
0.0000 0.0000 0.0000
0.1196 0.1196 0.6643
0.3209 0.3209 0.8366
0.6791 0.6791 0.1634
0.8804 0.8804 0.3357
```

Top 8 peaks for 5° ≤ 2θ ≤ 70°, in order of rising 2θ:
2θ/deg	I/Imax
28.2	25
32.1	34
32.7	100
34.0	94
34.7	28
35.5	55
47.9	47
61.1	32



Entry 5:
The following is a computed XRD peak list of Li3PmPd2. It was derived from a DFT-relaxed cell (PBE, Alexandria), using a wavelength of 1.5418 Å.

Cell and atoms:
```
Li3PmPd2
1.0
6.9632 -2.0995 0.0000
6.9632 2.0995 0.0000
-3.9579 0.0000 7.4324
Li Pm Pd
6 2 4
direct
0.0603 0.0603 0.3940
0.2850 0.2850 0.4613
0.4173 0.4173 0.3129
0.5827 0.5827 0.6871
0.7150 0.7150 0.5387
0.9397 0.9397 0.6060
0.1366 0.1366 0.0244
0.8634 0.8634 0.9756
0.2099 0.2099 0.7377
0.4400 0.4400 0.8111
0.5600 0.5600 0.1889
0.7901 0.7901 0.2623
```

Top 8 peaks for 5° ≤ 2θ ≤ 70°, in order of rising 2θ:
2θ/deg	I/Imax
11.9	100
27.0	34
30.5	47
34.2	21
36.5	38
39.5	38
39.8	49
43.1	23



Entry 6:
The following is a computed XRD peak list of LiPm3Pd. It was derived from a DFT-relaxed cell (PBE, Alexandria), using a wavelength of 1.5418 Å.

Cell and atoms:
```
LiPm3Pd
1.0
0.0000 4.9022 8.4539
3.3144 0.0000 8.4539
3.3144 4.9022 0.0000
Li Pm Pd
2 6 2
direct
0.1869 0.8131 0.8131
0.8131 0.1869 0.1869
0.2012 0.2012 0.7988
0.2132 0.5787 0.4213
0.4213 0.7868 0.2132
0.5787 0.2132 0.7868
0.7868 0.4213 0.5787
0.7988 0.7988 0.2012
0.2500 0.2500 0.2500
0.7500 0.7500 0.7500
```

Top 8 peaks for 5° ≤ 2θ ≤ 70°, in order of rising 2θ:
2θ/deg	I/Imax
10.5	47
26.9	27
31.0	100
34.4	69
34.5	26
39.1	39
50.2	25
56.0	21



Entry 7:
The following is a computed XRD peak list of LiPm2Si3Pd4. It was derived from a DFT-relaxed cell (PBE, Alexandria), using a wavelength of 1.5418 Å.

Cell and atoms:
```
LiPm2Si3Pd4
1.0
4.2311 0.0000 0.0000
0.0000 4.2311 0.0000
0.0000 0.0000 9.9760
Li Pm Si Pd
1 2 3 4
direct
0.0000 0.0000 0.0000
0.0000 0.5000 0.7518
0.5000 0.0000 0.2482
0.0000 0.5000 0.3675
0.5000 0.0000 0.6325
0.5000 0.5000 0.0000
0.0000 0.0000 0.5000
0.0000 0.5000 0.1263
0.5000 0.0000 0.8737
0.5000 0.5000 0.5000
```

Top 8 peaks for 5° ≤ 2θ ≤ 70°, in order of rising 2θ:
2θ/deg	I/Imax
29.9	25
31.2	40
34.3	79
35.0	100
42.7	62
50.6	29
55.9	38
68.3	23



Entry 8:
The following is a computed XRD peak list of LiPm2Zn2Pd5. It was derived from a DFT-relaxed cell (PBE, Alexandria), using a wavelength of 1.5418 Å.

Cell and atoms:
```
LiPm2Zn2Pd5
1.0
9.7912 0.0000 0.0000
0.0000 9.7912 0.0000
0.0000 0.0000 3.8128
Li Pm Zn Pd
2 4 4 10
direct
0.0000 0.0000 0.0000
0.5000 0.5000 0.0000
0.1783 0.3217 0.0000
0.3217 0.8217 0.0000
0.6783 0.1783 0.0000
0.8217 0.6783 0.0000
0.1192 0.6192 0.0000
0.3808 0.1192 0.0000
0.6192 0.8808 0.0000
0.8808 0.3808 0.0000
0.0000 0.5000 0.5000
0.0662 0.7958 0.5000
0.2042 0.0662 0.5000
0.2958 0.5662 0.5000
0.4338 0.2958 0.5000
0.5000 0.0000 0.5000
0.5662 0.7042 0.5000
0.7042 0.4338 0.5000
0.7958 0.9338 0.5000
0.9338 0.2042 0.5000
```

Top 8 peaks for 5° ≤ 2θ ≤ 70°, in order of rising 2θ:
2θ/deg	I/Imax
29.7	28
31.1	41
37.4	100
37.9	80
39.0	35
40.8	59
47.7	32
62.5	36



Entry 9:
The following is a computed XRD peak list of Li2PmZnPd. It was derived from a DFT-relaxed cell (PBE, Alexandria), using a wavelength of 1.5418 Å.

Cell and atoms:
```
Li2PmZnPd
1.0
4.0043 0.0000 0.0000
0.0000 4.0631 0.0000
0.0000 0.0000 12.1612
Li Pm Zn Pd
4 2 2 2
direct
0.0000 0.0000 0.0000
0.0000 0.5000 0.1445
0.5000 0.0000 0.6445
0.5000 0.5000 0.5000
0.0000 0.5000 0.7735
0.5000 0.0000 0.2735
0.0000 0.0000 0.5005
0.5000 0.5000 0.0005
0.0000 0.5000 0.3580
0.5000 0.0000 0.8580
```

Top 8 peaks for 5° ≤ 2θ ≤ 70°, in order of rising 2θ:
2θ/deg	I/Imax
14.6	74
23.4	27
31.2	36
31.4	57
34.7	100
43.4	29
43.5	30
44.6	18



Entry 10:
The following is a computed XRD peak list of LiPr4Pd4. It was derived from a DFT-relaxed cell (PBE, Alexandria), using a wavelength of 1.5418 Å.

Cell and atoms:
```
LiPr4Pd4
1.0
-4.5271 4.5271 2.9021
4.5271 -4.5271 2.9021
4.5271 4.5271 -2.9021
Li Pr Pd
1 4 4
direct
0.0000 0.0000 0.0000
0.1996 0.4147 0.6143
0.4147 0.8004 0.2151
0.5853 0.1996 0.7849
0.8004 0.5853 0.3857
0.0881 0.7351 0.8232
0.2649 0.0881 0.3531
0.7351 0.9119 0.6469
0.9119 0.2649 0.1768
```

Top 8 peaks for 5° ≤ 2θ ≤ 70°, in order of rising 2θ:
2θ/deg	I/Imax
13.8	22
27.9	21
30.8	50
31.2	100
42.0	14
44.4	75
44.8	27
55.3	28



Entry 11:
The following is a computed XRD peak list of Li2Pr3Pd5. It was derived from a DFT-relaxed cell (PBE, Alexandria), using a wavelength of 1.5418 Å.

Cell and atoms:
```
Li2Pr3Pd5
1.0
10.1395 0.0000 0.0000
0.0000 10.1395 0.0000
0.0000 0.0000 3.8298
Li Pr Pd
4 6 10
direct
0.1178 0.3822 0.0000
0.3822 0.8822 0.0000
0.6178 0.1178 0.0000
0.8822 0.6178 0.0000
0.0000 0.0000 0.0000
0.1759 0.6759 0.0000
0.3241 0.1759 0.0000
0.5000 0.5000 0.0000
0.6759 0.8241 0.0000
0.8241 0.3241 0.0000
0.0000 0.5000 0.5000
0.0698 0.2204 0.5000
0.2204 0.9302 0.5000
0.2796 0.4302 0.5000
0.4302 0.7204 0.5000
0.5000 0.0000 0.5000
0.5698 0.2796 0.5000
0.7204 0.5698 0.5000
0.7796 0.0698 0.5000
0.9302 0.7796 0.5000
```

Top 8 peaks for 5° ≤ 2θ ≤ 70°, in order of rising 2θ:
2θ/deg	I/Imax
30.6	48
34.3	26
36.5	100
39.8	37
47.5	16
59.8	11
61.4	18
63.6	21



Entry 12:
The following is a computed XRD peak list of LiPr2Pd3. It was derived from a DFT-relaxed cell (PBE, Alexandria), using a wavelength of 1.5418 Å.

Cell and atoms:
```
LiPr2Pd3
1.0
4.4542 0.0000 0.0000
0.0000 5.6582 0.0000
0.0000 0.0000 10.8203
Li Pr Pd
2 4 6
direct
0.0000 0.0000 0.0000
0.5000 0.5000 0.5000
0.0000 0.0000 0.3168
0.0000 0.0000 0.6832
0.5000 0.5000 0.1832
0.5000 0.5000 0.8168
0.0000 0.5000 0.0000
0.0000 0.5000 0.3743
0.0000 0.5000 0.6257
0.5000 0.0000 0.1257
0.5000 0.0000 0.5000
0.5000 0.0000 0.8743
```

Top 8 peaks for 5° ≤ 2θ ≤ 70°, in order of rising 2θ:
2θ/deg	I/Imax
30.4	66
31.6	67
31.9	100
40.5	34
44.8	33
45.6	74
52.3	32
62.0	25



Entry 13:
The following is a computed XRD peak list of Li4PrPd2. It was derived from a DFT-relaxed cell (PBE, Alexandria), using a wavelength of 1.5418 Å.

Cell and atoms:
```
Li4PrPd2
1.0
7.8043 0.0000 0.0000
0.0000 7.8043 0.0000
0.0000 0.0000 4.2089
Li Pr Pd
8 2 4
direct
0.0965 0.3474 0.0000
0.1526 0.5965 0.5000
0.3474 0.0965 0.0000
0.4035 0.8474 0.5000
0.5965 0.1526 0.5000
0.6526 0.9035 0.0000
0.8474 0.4035 0.5000
0.9035 0.6526 0.0000
0.0000 0.0000 0.5000
0.5000 0.5000 0.0000
0.2093 0.7907 0.0000
0.2907 0.2907 0.5000
0.7093 0.7093 0.5000
0.7907 0.2093 0.0000
```

Top 8 peaks for 5° ≤ 2θ ≤ 70°, in order of rising 2θ:
2θ/deg	I/Imax
16.1	83
26.6	90
32.4	66
33.4	100
40.8	61
42.5	35
54.9	29
68.5	33